1.
Structure and simulated PXRD pattern of Na14AgHg (a cell relaxed with GGA-PBE; λ = 1.5418 Å (Cu Kα)).
Kinematic intensities with the Lorentz-polarization factor, no thermal factor.

Cell and atoms:
```
Na14AgHg
1.0
7.144 0.000 0.000
0.000 7.144 0.000
0.000 0.000 10.127
Na Ag Hg
14 1 1
direct
0.000 0.000 0.000 Na
0.000 0.500 0.000 Na
0.000 0.500 0.500 Na
0.248 0.248 0.280 Na
0.248 0.248 0.720 Na
0.248 0.752 0.280 Na
0.248 0.752 0.720 Na
0.500 0.000 0.000 Na
0.500 0.000 0.500 Na
0.500 0.500 0.000 Na
0.752 0.248 0.280 Na
0.752 0.248 0.720 Na
0.752 0.752 0.280 Na
0.752 0.752 0.720 Na
0.000 0.000 0.500 Ag
0.500 0.500 0.500 Hg
```

Main lines, by angle (2θ = 15–90°):
two_theta  d (Å)  I (rel.)  index
17.54  5.056  49  0 0 2
19.64  4.520  48  1 1 1
24.91  3.575  42  2 0 0
30.63  2.919  100  2 0 2
35.52  2.528  50  2 2 0
36.64  2.452  34  2 0 3

---

2.
Structure and simulated PXRD pattern of RbIn4Au4 (a cell relaxed with GGA-PBE; λ = 1.5418 Å (Cu Kα)).
Kinematic intensities with the Lorentz-polarization factor, no thermal factor.

Cell and atoms:
```
RbIn4Au4
1.0
7.123 0.000 0.000
0.000 7.123 0.000
0.000 0.000 9.294
Rb In Au
2 8 8
direct
0.250 0.750 0.250 Rb
0.750 0.250 0.750 Rb
0.003 0.250 0.118 In
0.250 0.003 0.618 In
0.250 0.497 0.618 In
0.497 0.250 0.118 In
0.503 0.750 0.882 In
0.750 0.503 0.382 In
0.750 0.997 0.382 In
0.997 0.750 0.882 In
0.052 0.250 0.420 Au
0.250 0.052 0.920 Au
0.250 0.448 0.920 Au
0.448 0.250 0.420 Au
0.552 0.750 0.580 Au
0.750 0.552 0.080 Au
0.750 0.948 0.080 Au
0.948 0.750 0.580 Au
```

Main lines, by angle (2θ = 15–90°):
two_theta  d (Å)  I (rel.)  index
15.67  5.654  41  1 0 1
29.64  3.014  100  2 1 1
31.49  2.841  58  1 0 3
35.65  2.519  74  2 2 0
40.62  2.221  60  2 1 3
48.29  1.885  62  3 0 3